No. 1
TcMo2Se: theoretical powder X-ray diffraction pattern (Cu Kα (weighted mean of Kα1 and Kα2)), based on a crystal structure in Alexandria, relaxed with PBE.
No peak broadening, texture or thermal motion is included.

Structure:
a = 2.9516 Å, b = 2.9516 Å, c = 25.4814 Å
α = 90.00°, β = 90.00°, γ = 120.00°
Fractional coordinates of all 12 atoms:
Tc: 0.0000 0.0000 0.0000
Tc: 0.3333 0.6667 0.6667
Tc: 0.6667 0.3333 0.3333
Mo: 0.0000 0.0000 0.2548
Mo: 0.0000 0.0000 0.4981
Mo: 0.3333 0.6667 0.1647
Mo: 0.3333 0.6667 0.9215
Mo: 0.6667 0.3333 0.5881
Mo: 0.6667 0.3333 0.8314
Se: 0.0000 0.0000 0.7552
Se: 0.3333 0.6667 0.4219
Se: 0.6667 0.3333 0.0886

Principal peaks in the range 5° ≤ 2θ ≤ 70°, by intensity:
- d = 2.372 Å, 37.9 deg, I = 1000
- d = 1.994 Å, 45.5 deg, I = 577
- d = 2.123 Å, 42.6 deg, I = 227
- d = 1.476 Å, 63.0 deg, I = 218
- d = 1.352 Å, 69.5 deg, I = 147
- d = 4.247 Å, 20.9 deg, I = 25

=====

No. 2
Tb2Sm2Cd3: theoretical powder X-ray diffraction pattern (Cu Kα (weighted mean of Kα1 and Kα2)), based on a crystal structure in Alexandria, relaxed with PBE.
No peak broadening, texture or thermal motion is included.

Structure:
a = 8.1181 Å, b = 8.1181 Å, c = 8.1181 Å
α = 109.47°, β = 109.47°, γ = 109.47°
Fractional coordinates of all 14 atoms:
Tb: 0.0000 0.6440 0.5000
Tb: 0.5000 0.0000 0.6440
Tb: 0.6440 0.5000 0.0000
Tb: 0.8560 0.8560 0.8560
Sm: 0.0000 0.1565 0.5000
Sm: 0.1565 0.5000 0.0000
Sm: 0.3435 0.3435 0.3435
Sm: 0.5000 0.0000 0.1565
Cd: 0.1162 0.8662 0.2500
Cd: 0.2500 0.1162 0.8662
Cd: 0.3838 0.6338 0.7500
Cd: 0.6338 0.7500 0.3838
Cd: 0.7500 0.3838 0.6338
Cd: 0.8662 0.2500 0.1162

Principal peaks in the range 5° ≤ 2θ ≤ 70°, by intensity:
- d = 2.964 Å, 30.1 deg, I = 1000
- d = 2.505 Å, 35.8 deg, I = 747
- d = 1.521 Å, 60.9 deg, I = 256
- d = 1.838 Å, 49.6 deg, I = 222
- d = 1.913 Å, 47.5 deg, I = 204
- d = 1.446 Å, 64.4 deg, I = 156

=====

No. 3
Na4ICl3: theoretical powder X-ray diffraction pattern (Cu Kα (weighted mean of Kα1 and Kα2)), based on a crystal structure in Alexandria, relaxed with PBE.
No peak broadening, texture or thermal motion is included.

Structure:
a = 7.2431 Å, b = 8.4129 Å, c = 7.2591 Å
α = 90.00°, β = 109.73°, γ = 90.00°
Fractional coordinates of all 16 atoms:
Na: 0.2241 0.1416 0.0050
Na: 0.2241 0.8584 0.5050
Na: 0.2484 0.3898 0.4828
Na: 0.2484 0.6102 0.9828
Na: 0.7516 0.3898 0.0172
Na: 0.7516 0.6102 0.5172
Na: 0.7759 0.1416 0.4950
Na: 0.7759 0.8584 0.9950
I: 0.5000 0.1266 0.7500
I: 0.5000 0.8734 0.2500
Cl: 0.0000 0.1348 0.2500
Cl: 0.0000 0.3793 0.7500
Cl: 0.0000 0.6207 0.2500
Cl: 0.0000 0.8652 0.7500
Cl: 0.5000 0.3809 0.2500
Cl: 0.5000 0.6191 0.7500

Principal peaks in the range 5° ≤ 2θ ≤ 70°, by intensity:
- d = 2.963 Å, 30.2 deg, I = 1000
- d = 2.096 Å, 43.2 deg, I = 455
- d = 3.431 Å, 26.0 deg, I = 179
- d = 3.413 Å, 26.1 deg, I = 175
- d = 5.300 Å, 16.7 deg, I = 165
- d = 6.818 Å, 13.0 deg, I = 136